MgVFeP4O14: computed X-ray powder pattern (Cu Kα (weighted mean of Kα1 and Kα2)), based on DFT lattice parameters and positions (GGA+U).
Kinematic intensities with the Lorentz-polarization factor, no thermal factor.

Largest 10 diffraction maxima, sorted by position, 10 to 90 degrees two-theta:
- d 6.456, I 16, hkl 0 1 0
- d 5.128, I 40, hkl 0 1 -1
- d 5.087, I 52, hkl 0 1 1
- d 4.101, I 29, hkl 1 0 1
- d 4.047, I 61, hkl -1 1 1
- d 3.520, I 26, hkl 0 1 -2
- d 3.100, I 100, hkl -1 1 2
- d 3.077, I 24, hkl 1 1 1
- d 2.999, I 31, hkl 1 -2 1
- d 2.238, I 15, hkl 1 2 1

Cell and atoms:
```
data_MgVFeP4O14
_chemical_formula_sum 'Mg1 V1 Fe1 P4 O14'
_space_group_name_H-M_alt 'P 1'
_space_group_IT_number 1
_space_group_name_Hall 'P 1'
_cell_length_a 5.0214
_cell_length_b 6.8482
_cell_length_c 8.3513
_cell_angle_alpha 90.32
_cell_angle_beta 90.41
_cell_angle_gamma 109.48
loop_
_atom_site_label
_atom_site_fract_x
_atom_site_fract_y
_atom_site_fract_z
_atom_site_occupancy
Mg1 0.0000 0.0000 0.0000 1
V1 0.1888 0.4747 0.8769 1
Fe1 0.6000 0.9087 0.3986 1
P1 0.0159 0.6815 0.2011 1
P2 0.1734 0.1061 0.6080 1
P3 0.6200 0.2621 0.1086 1
P4 0.7808 0.6990 0.7087 1
O1 0.1225 0.7029 0.0263 1
O2 0.2350 0.6852 0.3261 1
O3 0.2855 0.3014 0.7075 1
O4 0.3508 0.2771 0.0282 1
O5 0.4012 0.0207 0.5565 1
O6 0.5357 0.0780 0.2180 1
O7 0.5723 0.6798 0.8480 1
O8 0.6640 0.6983 0.5416 1
O9 0.7641 0.4621 0.2166 1
O10 0.8394 0.2445 0.9829 1
O11 0.8684 0.8470 0.2131 1
O12 0.9578 0.5568 0.7208 1
O13 0.9620 0.1104 0.4787 1
O14 0.9932 0.9375 0.7505 1
```